(1)
Diffraction record for MgRe2. The X-ray diffraction stick pattern is simulated, not measured: it uses a structure optimized by DFT (PBE) and CuKα.

Crystal structure
abc: 3.101 3.101 9.849
angles: 90.00 90.00 90.00
Space group I4/mmm (No. 139)
Inequivalent atoms, fractional coordinates:
Mg  0.000  0.000  0.000
Re  0.000  0.000  0.319

The 6 most intense peaks (10° ≤ 2θ ≤ 90°), in order of rising 2θ:
| Position (°2θ) | I_rel | hkl |
| --- | --- | --- |
| 18.0 | 56 | 0 0 2 |
| 30.2 | 24 | 1 0 1 |
| 40.0 | 100 | 1 0 3 |
| 41.2 | 49 | 1 1 0 |
| 45.3 | 22 | 1 1 2 |
| 74.2 | 33 | 2 1 3 |

***

(2)
Diffraction record for MgReRh. The X-ray diffraction stick pattern is simulated, not measured: it uses a structure optimized by DFT (PBE) and CuKα.

Crystal structure
abc: 2.883 4.501 7.435
angles: 74.90 89.96 89.95
Space group P-1 (No. 2)
Inequivalent atoms, fractional coordinates:
Mg  0.249  0.168  0.323
Re  0.251  0.744  0.034
Rh  0.250  0.331  0.664

The 6 most intense peaks (10° ≤ 2θ ≤ 90°), in order of rising 2θ:
| Position (°2θ) | I_rel | hkl |
| --- | --- | --- |
| 12.3 | 100 | 0 0 1 |
| 37.6 | 44 | 0 0 3 |
| 37.7 | 37 | -1 1 1 |
| 40.1 | 49 | 0 2 1 |
| 41.3 | 73 | 1 1 -1 |
| 42.1 | 66 | -1 1 2 |

***

(3)
Diffraction record for MgRe2Rh. The X-ray diffraction stick pattern is simulated, not measured: it uses a structure optimized by DFT (PBE) and CuKα.

Crystal structure
abc: 3.057 3.057 6.517
angles: 90.00 90.00 90.00
Space group P4mm (No. 99)
Inequivalent atoms, fractional coordinates:
Mg  0.000  0.000  0.000
Re  0.000  0.000  0.494
Re  0.500  0.500  0.275
Rh  0.500  0.500  0.764

The 6 most intense peaks (10° ≤ 2θ ≤ 90°), in order of rising 2θ:
| Position (°2θ) | I_rel | hkl |
| --- | --- | --- |
| 13.6 | 55 | 0 0 1 |
| 32.3 | 18 | 1 0 1 |
| 40.5 | 100 | 1 0 2 |
| 41.8 | 47 | 1 1 0 |
| 72.7 | 16 | 1 1 4 |
| 75.4 | 32 | 2 1 2 |

***

(4)
Diffraction record for MgRe2Ru. The X-ray diffraction stick pattern is simulated, not measured: it uses a structure optimized by DFT (PBE) and CuKα.

Crystal structure
abc: 2.728 4.327 5.221
angles: 90.00 103.61 90.00
Space group P2/m (No. 10)
Inequivalent atoms, fractional coordinates:
Mg  0.000  0.000  0.000
Re  0.497  0.500  0.754
Ru  0.000  0.000  0.500

The 6 most intense peaks (10° ≤ 2θ ≤ 90°), in order of rising 2θ:
| Position (°2θ) | I_rel | hkl |
| --- | --- | --- |
| 20.5 | 61 | 0 1 0 |
| 39.9 | 100 | 1 1 0 |
| 41.2 | 91 | 0 1 2 |
| 41.8 | 44 | 0 2 0 |
| 43.2 | 40 | 1 0 -2 |
| 61.6 | 29 | 1 2 -2 |

***

(5)
Diffraction record for Mg2ReRu. The X-ray diffraction stick pattern is simulated, not measured: it uses a structure optimized by DFT (PBE) and CuKα.

Crystal structure
abc: 3.016 4.658 9.315
angles: 90.00 90.00 90.00
Space group Imm2 (No. 44)
Inequivalent atoms, fractional coordinates:
Mg  0.000  0.000  0.000
Mg  0.000  0.500  0.219
Re  0.000  0.500  0.759
Ru  0.000  0.000  0.473

The 6 most intense peaks (10° ≤ 2θ ≤ 90°), in order of rising 2θ:
| Position (°2θ) | I_rel | hkl |
| --- | --- | --- |
| 21.3 | 93 | 0 1 1 |
| 31.2 | 22 | 1 0 1 |
| 38.7 | 55 | 0 2 0 |
| 40.6 | 100 | 1 1 2 |
| 41.7 | 24 | 1 0 3 |
| 71.2 | 31 | 1 3 2 |

***

(6)
Diffraction record for MgSc4Re. The X-ray diffraction stick pattern is simulated, not measured: it uses a structure optimized by DFT (PBE) and CuKα.

Crystal structure
abc: 7.936 7.936 7.936
angles: 90.00 90.00 90.00
Space group F-43m (No. 216)
Inequivalent atoms, fractional coordinates:
Mg  0.000  0.000  0.000
Sc  0.122  0.122  0.378
Re  0.250  0.250  0.750

The 6 most intense peaks (10° ≤ 2θ ≤ 90°), in order of rising 2θ:
| Position (°2θ) | I_rel | hkl |
| --- | --- | --- |
| 19.4 | 42 | 1 1 1 |
| 22.4 | 31 | 2 0 0 |
| 31.9 | 50 | 2 2 0 |
| 37.6 | 100 | 3 1 1 |
| 39.3 | 24 | 2 2 2 |
| 60.6 | 31 | 3 3 3 |

***

(7)
Diffraction record for MgReSe2. The X-ray diffraction stick pattern is simulated, not measured: it uses a structure optimized by DFT (PBE) and CuKα.

Crystal structure
abc: 3.365 5.028 4.726
angles: 90.00 110.52 90.00
Space group Pm (No. 6)
Inequivalent atoms, fractional coordinates:
Mg  0.000  0.000  0.000
Re  0.364  0.500  0.725
Se  0.290  0.000  0.571
Se  0.658  0.500  0.304

The 6 most intense peaks (10° ≤ 2θ ≤ 90°), in order of rising 2θ:
| Position (°2θ) | I_rel | hkl |
| --- | --- | --- |
| 17.6 | 91 | 0 1 0 |
| 20.1 | 83 | 0 0 1 |
| 33.6 | 93 | 1 1 -1 |
| 35.7 | 89 | 0 2 0 |
| 44.8 | 100 | 0 1 2 |
| 46.2 | 61 | 1 2 -1 |

***

(8)
Diffraction record for Mg4ReW. The X-ray diffraction stick pattern is simulated, not measured: it uses a structure optimized by DFT (PBE) and CuKα.

Crystal structure
abc: 7.406 7.406 7.406
angles: 90.00 90.00 90.00
Space group F-43m (No. 216)
Inequivalent atoms, fractional coordinates:
Mg  0.125  0.125  0.125
Re  0.250  0.250  0.750
W  0.000  0.000  0.500

The 6 most intense peaks (10° ≤ 2θ ≤ 90°), in order of rising 2θ:
| Position (°2θ) | I_rel | hkl |
| --- | --- | --- |
| 20.8 | 73 | 1 1 1 |
| 34.2 | 100 | 2 2 0 |
| 40.4 | 92 | 3 1 1 |
| 61.3 | 38 | 4 2 2 |
| 65.5 | 29 | 5 1 1 |
| 72.2 | 19 | 4 4 0 |

***

(9)
Diffraction record for MgZnRe2. The X-ray diffraction stick pattern is simulated, not measured: it uses a structure optimized by DFT (PBE) and CuKα.

Crystal structure
abc: 3.060 3.060 6.745
angles: 90.00 90.00 90.00
Space group P4mm (No. 99)
Inequivalent atoms, fractional coordinates:
Mg  0.000  0.000  0.000
Zn  0.500  0.500  0.736
Re  0.000  0.000  0.485
Re  0.500  0.500  0.276

The 6 most intense peaks (10° ≤ 2θ ≤ 90°), in order of rising 2θ:
| Position (°2θ) | I_rel | hkl |
| --- | --- | --- |
| 13.1 | 94 | 0 0 1 |
| 32.1 | 20 | 1 0 1 |
| 39.8 | 100 | 1 0 2 |
| 41.7 | 46 | 1 1 0 |
| 50.4 | 22 | 1 0 3 |
| 74.9 | 31 | 2 1 2 |

***

(10)
Diffraction record for Mg4Rh5. The X-ray diffraction stick pattern is simulated, not measured: it uses a structure optimized by DFT (PBE) and CuKα.

Crystal structure
abc: 8.469 8.469 3.991
angles: 90.00 90.00 90.00
Space group I4/mmm (No. 139)
Inequivalent atoms, fractional coordinates:
Mg  0.000  0.306  0.000
Rh  0.000  0.000  0.000
Rh  0.166  0.166  0.500

The 6 most intense peaks (10° ≤ 2θ ≤ 90°), in order of rising 2θ:
| Position (°2θ) | I_rel | hkl |
| --- | --- | --- |
| 14.8 | 46 | 1 1 0 |
| 32.6 | 20 | 2 1 1 |
| 39.1 | 100 | 3 0 1 |
| 45.4 | 48 | 0 0 2 |
| 66.2 | 29 | 3 3 2 |
| 79.7 | 34 | 3 0 3 |

***

(11)
Diffraction record for MgRh2. The X-ray diffraction stick pattern is simulated, not measured: it uses a structure optimized by DFT (PBE) and CuKα.

Crystal structure
abc: 4.3900 4.3900 2.7982
angles: 90.00 90.00 120.00
Space group P6/mmm (No. 191)
Inequivalent atoms, fractional coordinates:
Mg  0.0000  0.0000  0.0000
Rh  0.3333  0.6667  0.5000

The 6 most intense peaks (10° ≤ 2θ ≤ 90°), in order of rising 2θ:
| Position (°2θ) | I_rel | hkl |
| --- | --- | --- |
| 23.4 | 51 | 1 0 0 |
| 32.0 | 41 | 0 0 1 |
| 40.0 | 66 | 1 0 1 |
| 41.1 | 100 | 1 1 0 |
| 53.0 | 58 | 1 1 1 |
| 81.6 | 26 | 1 1 2 |

***

(12)
Diffraction record for Mg3Rh2. The X-ray diffraction stick pattern is simulated, not measured: it uses a structure optimized by DFT (PBE) and CuKα.

Crystal structure
abc: 4.4610 4.4610 9.7170
angles: 90.00 90.00 120.00
Space group P6_3/mmc (No. 194)
Inequivalent atoms, fractional coordinates:
Mg  0.0000  0.0000  0.2500
Mg  0.3333  0.6667  0.0831
Rh  0.0000  0.0000  0.0000
Rh  0.3333  0.6667  0.7500

The 6 most intense peaks (10° ≤ 2θ ≤ 90°), in order of rising 2θ:
| Position (°2θ) | I_rel | hkl |
| --- | --- | --- |
| 24.8 | 43 | 1 0 1 |
| 29.5 | 82 | 1 0 2 |
| 36.2 | 61 | 1 0 3 |
| 37.0 | 23 | 0 0 4 |
| 40.4 | 100 | 1 1 0 |
| 56.0 | 41 | 1 1 4 |